Starting from a structure optimized by DFT (PBE+U), the XRD peak list of LiY2MnO5 was simulated for Cu Kα X-rays.
No peak broadening, texture or thermal motion is included.

Largest 12 diffraction maxima, by intensity, 2θ from 10° to 90°:
hkl 2 1 1, 2θ 34.82, I 100; hkl 0 0 1, 2θ 15.57, I 99; hkl 2 0 1, 2θ 31.85, I 90; hkl 2 1 2, 2θ 44.69, I 88; hkl 1 1 0, 2θ 19.43, I 64; hkl 3 1 1, 2θ 47.26, I 49; hkl 0 0 2, 2θ 31.44, I 36; hkl 4 1 1, 2θ 61.35, I 27; hkl 2 1 0, 2θ 30.94, I 24; hkl 4 1 2, 2θ 68.32, I 23; hkl 2 2 0, 2θ 39.44, I 22; hkl 2 1 3, 2θ 58.17, I 20

```
data_LiY2MnO5
_cell_length_a 6.462
_cell_length_b 6.462
_cell_length_c 5.691
_cell_angle_alpha 90.00
_cell_angle_beta 90.00
_cell_angle_gamma 90.00
_symmetry_space_group_name_H-M 'P 1'
_symmetry_Int_Tables_number 1
_symmetry_space_group_name_Hall 'P 1'
loop_
_atom_site_label
_atom_site_fract_x
_atom_site_fract_y
_atom_site_fract_z
Li1 0.000 0.000 0.000
Li2 0.500 0.500 0.000
Y1 0.177 0.323 0.500
Y2 0.323 0.823 0.500
Y3 0.677 0.177 0.500
Y4 0.823 0.677 0.500
Mn1 0.000 0.500 0.000
Mn2 0.500 0.000 0.000
O1 0.000 0.000 0.500
O2 0.139 0.639 0.244
O3 0.139 0.639 0.756
O4 0.361 0.139 0.244
O5 0.361 0.139 0.756
O6 0.500 0.500 0.500
O7 0.639 0.861 0.244
O8 0.639 0.861 0.756
O9 0.861 0.361 0.244
O10 0.861 0.361 0.756
```